Structure and calculated X-ray powder pattern of MgFe2Se2O10 (a GGA+U-relaxed structure; a wavelength of 1.5418 Å).
Lines closer than 0.1° are merged.

Atomic structure:
a b c (Å): 5.598 5.598 7.016
angles (deg): 104.65 104.65 100.66
Positions (direct):
Mg 0.000 0.000 0.000
Fe 0.685 0.307 0.745
Fe 0.693 0.315 0.255
Se 0.043 0.957 0.500
Se 0.352 0.648 0.000
O 0.057 0.611 0.838
O 0.341 0.035 0.660
O 0.346 0.412 0.108
O 0.389 0.943 0.162
O 0.588 0.654 0.892
O 0.622 0.378 0.500
O 0.771 0.229 0.000
O 0.873 0.009 0.668
O 0.965 0.659 0.340
O 0.991 0.127 0.332

Main lines, in order of falling intensity (2θ = 10–80°):
2θ 27.58, I = 100; 2θ 27.18, I = 100; 2θ 34.07, I = 70; 2θ 24.86, I = 69; 2θ 18.19, I = 69; 2θ 52.57, I = 54; 2θ 25.11, I = 50; 2θ 34.77, I = 39; 2θ 32.70, I = 36; 2θ 41.00, I = 27

---

Structure and calculated X-ray powder pattern of MgFeSiO5 (a GGA+U-relaxed structure; a wavelength of 1.5418 Å).
Lines closer than 0.1° are merged.

Atomic structure:
a b c (Å): 5.343 5.343 6.930
angles (deg): 104.80 104.80 105.23
Positions (direct):
Mg 0.169 0.831 0.750
Mg 0.831 0.169 0.250
Fe 0.500 0.500 0.000
Fe 0.500 0.500 0.500
Si 0.174 0.826 0.250
Si 0.826 0.174 0.750
O 0.136 0.220 0.911
O 0.170 0.605 0.375
O 0.220 0.136 0.411
O 0.395 0.830 0.125
O 0.415 0.585 0.750
O 0.585 0.415 0.250
O 0.605 0.170 0.875
O 0.780 0.864 0.589
O 0.830 0.395 0.625
O 0.864 0.780 0.089

Main lines, in order of falling intensity (2θ = 10–80°):
2θ 28.00, I = 100; 2θ 30.37, I = 59; 2θ 35.54, I = 51; 2θ 18.34, I = 47; 2θ 35.18, I = 45; 2θ 57.12, I = 26; 2θ 44.23, I = 21; 2θ 55.36, I = 21; 2θ 63.63, I = 19; 2θ 40.53, I = 19

---

What did the second record say?
Structure and calculated X-ray powder pattern of MgFeSiO5 (a GGA+U-relaxed structure; a wavelength of 1.5418 Å).
Lines closer than 0.1° are merged.

Atomic structure:
a b c (Å): 5.343 5.343 6.930
angles (deg): 104.80 104.80 105.23
Positions (direct):
Mg 0.169 0.831 0.750
Mg 0.831 0.169 0.250
Fe 0.500 0.500 0.000
Fe 0.500 0.500 0.500
Si 0.174 0.826 0.250
Si 0.826 0.174 0.750
O 0.136 0.220 0.911
O 0.170 0.605 0.375
O 0.220 0.136 0.411
O 0.395 0.830 0.125
O 0.415 0.585 0.750
O 0.585 0.415 0.250
O 0.605 0.170 0.875
O 0.780 0.864 0.589
O 0.830 0.395 0.625
O 0.864 0.780 0.089

Main lines, in order of falling intensity (2θ = 10–80°):
2θ 28.00, I = 100; 2θ 30.37, I = 59; 2θ 35.54, I = 51; 2θ 18.34, I = 47; 2θ 35.18, I = 45; 2θ 57.12, I = 26; 2θ 44.23, I = 21; 2θ 55.36, I = 21; 2θ 63.63, I = 19; 2θ 40.53, I = 19

---

- Number 1 is which compound?
  MgFe2Se2O10